[1]
Simulated XRD peak list
Compound: PmInGa
Radiation: Cu Kα X-rays
Structure: a cell relaxed with GGA-PBE
No peak broadening, texture or thermal motion is included.

Structure:
```
PmInGa
1.0
-2.3695 3.7926 4.0607
2.3695 -3.7926 4.0607
2.3695 3.7926 -4.0607
Pm In Ga
2 2 2
direct
0.0000 0.0000 0.0000
0.5000 0.0000 0.5000
0.4034 0.6534 0.7500
0.5966 0.3466 0.2500
0.0683 0.3183 0.7500
0.9317 0.6817 0.2500
```

Largest 6 diffraction maxima, sorted by position, 10 to 90 degrees two-theta:
2θ/deg, I_rel
32.18, 100.0
32.30, 46.2
37.97, 30.4
38.29, 57.1
50.69, 25.8
62.98, 25.9

=====

[2]
Simulated XRD peak list
Compound: Sc7BCl12
Radiation: Cu Kα X-rays
Structure: a cell relaxed with GGA-PBE
No peak broadening, texture or thermal motion is included.

Structure:
```
Sc7BCl12
1.0
6.6079 3.8150 2.9848
-6.6079 3.8150 2.9848
0.0000 -7.6301 2.9848
Sc B Cl
7 1 12
direct
0.0000 0.0000 0.0000
0.1894 0.4708 0.3968
0.3968 0.1894 0.4708
0.4708 0.3968 0.1894
0.5292 0.6032 0.8106
0.6032 0.8106 0.5292
0.8106 0.5292 0.6032
0.5000 0.5000 0.5000
0.0390 0.1168 0.3417
0.1168 0.3417 0.0390
0.1865 0.5753 0.7225
0.2775 0.8135 0.4247
0.3417 0.0390 0.1168
0.4247 0.2775 0.8135
0.5753 0.7225 0.1865
0.6583 0.9610 0.8832
0.7225 0.1865 0.5753
0.8135 0.4247 0.2775
0.8832 0.6583 0.9610
0.9610 0.8832 0.6583
```

Largest 6 diffraction maxima, sorted by position, 10 to 90 degrees two-theta:
2θ/deg, I_rel
13.40, 25.7
18.40, 11.0
29.87, 12.9
34.64, 100.0
49.80, 60.1
62.04, 13.8

=====

[3]
Simulated XRD peak list
Compound: ThFe4Co
Radiation: Cu Kα X-rays
Structure: a cell relaxed with GGA-PBE
No peak broadening, texture or thermal motion is included.

Structure:
```
ThFe4Co
1.0
5.0689 0.0000 0.0000
-2.5345 4.3898 0.0000
0.0000 0.0000 4.0346
Th Fe Co
1 4 1
direct
0.0000 0.0000 0.0000
0.9996 0.4998 0.5000
0.5002 0.0004 0.5000
0.5002 0.4998 0.5000
0.6667 0.3333 0.0000
0.3333 0.6667 0.0000
```

Largest 6 diffraction maxima, sorted by position, 10 to 90 degrees two-theta:
2θ/deg, I_rel
30.08, 74.7
35.42, 40.6
41.13, 38.0
42.10, 100.0
44.93, 22.9
68.17, 23.1

=====

[4]
Simulated XRD peak list
Compound: Ag3SbCl8
Radiation: Cu Kα X-rays
Structure: a cell relaxed with GGA-PBE
No peak broadening, texture or thermal motion is included.

Structure:
```
Ag3SbCl8
1.0
4.1447 -4.7491 0.0000
4.1447 4.7491 0.0000
0.0000 0.0000 9.0542
Ag Sb Cl
3 1 8
direct
0.0000 0.0000 0.0000
0.0000 0.5000 0.8230
0.5000 0.0000 0.1770
0.0000 0.0000 0.5000
0.2089 0.2106 0.6917
0.2106 0.2089 0.3083
0.2504 0.7496 0.5000
0.2556 0.7444 0.0000
0.7444 0.2556 0.0000
0.7496 0.2504 0.5000
0.7894 0.7911 0.3083
0.7911 0.7894 0.6917
```

Largest 6 diffraction maxima, sorted by position, 10 to 90 degrees two-theta:
2θ/deg, I_rel
14.18, 100.0
17.25, 73.5
24.28, 57.1
29.21, 92.1
37.89, 33.0
48.55, 40.6

=====

[5]
Simulated XRD peak list
Compound: Y2MnGePt6
Radiation: Cu Kα X-rays
Structure: a cell relaxed with GGA-PBE
No peak broadening, texture or thermal motion is included.

Structure:
```
Y2MnGePt6
1.0
2.7877 1.6095 7.7404
-2.7877 1.6095 7.7404
0.0000 -3.2190 7.7404
Y Mn Ge Pt
2 1 1 6
direct
0.2014 0.2014 0.2014
0.7986 0.7986 0.7986
0.5000 0.5000 0.5000
0.0000 0.0000 0.0000
0.2505 0.2505 0.7468
0.2505 0.7468 0.2505
0.2532 0.7495 0.7495
0.7468 0.2505 0.2505
0.7495 0.2532 0.7495
0.7495 0.7495 0.2532
```

Largest 6 diffraction maxima, sorted by position, 10 to 90 degrees two-theta:
2θ/deg, I_rel
19.92, 44.6
22.98, 74.2
38.07, 89.3
39.85, 36.4
40.47, 100.0
49.08, 41.9

=====

[6]
Simulated XRD peak list
Compound: YPaBr6
Radiation: Cu Kα X-rays
Structure: a cell relaxed with GGA-PBE
No peak broadening, texture or thermal motion is included.

Structure:
```
YPaBr6
1.0
3.5179 -6.7786 0.0000
3.5179 6.7786 0.0000
-2.3074 0.0000 6.6470
Y Pa Br
1 1 6
direct
0.0000 0.0000 0.0000
0.5000 0.5000 0.5000
0.0975 0.3933 0.2455
0.2490 0.2490 0.7506
0.3933 0.0975 0.2455
0.6067 0.9025 0.7545
0.7510 0.7510 0.2494
0.9025 0.6067 0.7545
```

Largest 6 diffraction maxima, sorted by position, 10 to 90 degrees two-theta:
2θ/deg, I_rel
13.06, 79.1
16.79, 73.1
29.50, 100.0
31.20, 44.0
39.91, 35.5
43.47, 67.1